(1)
# Cr2BiMoOsRh
Theoretical PXRD pattern, Cu Kα, 1.54184 Å. Input: a cell relaxed with GGA-PBE.
Intensities are scaled so that the largest is 100.

Cell and atoms:
abc: 3.0037 4.1807 8.0464
angles: 90.00 90.00 90.00
Sites, in units of the cell vectors:
Cr  0.0000  0.0000  0.0000
Cr  0.5000  0.0000  0.2384
Bi  0.0000  0.5000  0.5707
Mo  0.5000  0.5000  0.9542
Os  0.0000  0.5000  0.2221
Rh  0.5000  0.0000  0.7291

The 10 most intense peaks (2θ = 15–90°), most intense first:
d/Å	2θ/deg	intensity
2.088	43.34	100
2.257	39.94	49
2.334	38.57	43
2.439	36.85	38
4.181	21.25	35
2.682	33.41	24
2.814	31.80	22
1.805	50.58	22
4.023	22.09	20
2.001	45.33	20



(2)
# Th6Se12I
Theoretical PXRD pattern, Cu Kα, 1.54184 Å. Input: a cell relaxed with GGA-PBE.
Intensities are scaled so that the largest is 100.

Cell and atoms:
abc: 8.6678 8.6678 8.6678
angles: 104.08 104.08 104.08
Sites, in units of the cell vectors:
Th  0.2470  0.2470  0.6639
Th  0.2470  0.6639  0.2470
Th  0.3361  0.7530  0.7530
Th  0.6639  0.2470  0.2470
Th  0.7530  0.3361  0.7530
Th  0.7530  0.7530  0.3361
Se  0.1286  0.5000  0.8714
Se  0.1286  0.8714  0.5000
Se  0.1816  0.4531  0.4531
Se  0.4531  0.1816  0.4531
Se  0.4531  0.4531  0.1816
Se  0.5000  0.1286  0.8714
Se  0.5000  0.8714  0.1286
Se  0.5469  0.5469  0.8184
Se  0.5469  0.8184  0.5469
Se  0.8184  0.5469  0.5469
Se  0.8714  0.1286  0.5000
Se  0.8714  0.5000  0.1286
I  0.0000  0.0000  0.0000

The 10 most intense peaks (2θ = 15–90°), most intense first:
d/Å	2θ/deg	intensity
4.131	21.51	100
2.633	34.05	67
2.167	41.68	56
2.654	33.77	55
3.981	22.33	41
3.440	25.90	40
2.312	38.96	36
2.593	34.60	35
2.449	36.70	35
1.433	65.11	32



(3)
# MnFe2B4
Theoretical PXRD pattern, Cu Kα, 1.54184 Å. Input: a cell relaxed with GGA-PBE.
Intensities are scaled so that the largest is 100.

Cell and atoms:
abc: 2.9144 2.9462 12.6897
angles: 90.00 90.00 90.00
Sites, in units of the cell vectors:
Mn  0.0000  0.0000  0.0000
Mn  0.5000  0.5000  0.5000
Fe  0.0000  0.5000  0.1858
Fe  0.0000  0.5000  0.8142
Fe  0.5000  0.0000  0.3142
Fe  0.5000  0.0000  0.6858
B  0.0000  0.0000  0.4325
B  0.0000  0.0000  0.5675
B  0.0000  0.5000  0.3558
B  0.0000  0.5000  0.6442
B  0.5000  0.0000  0.1442
B  0.5000  0.0000  0.8558
B  0.5000  0.5000  0.0675
B  0.5000  0.5000  0.9325

The 10 most intense peaks (2θ = 15–90°), most intense first:
d/Å	2θ/deg	intensity
1.970	46.08	100
2.418	37.19	92
1.914	47.51	60
2.840	31.50	40
2.115	42.75	28
1.167	82.66	20
1.260	75.48	20
1.248	76.30	19
1.473	63.11	16
1.457	63.88	15



(4)
# Rb3ZnI5
Theoretical PXRD pattern, Cu Kα, 1.54184 Å. Input: a cell relaxed with GGA-PBE.
Intensities are scaled so that the largest is 100.

Cell and atoms:
abc: 10.7989 10.7989 10.7989
angles: 124.30 123.98 82.97
Sites, in units of the cell vectors:
Rb  0.1582  0.6577  0.8159
Rb  0.2500  0.2500  0.0000
Rb  0.3418  0.1577  0.4995
Rb  0.6582  0.8423  0.5005
Rb  0.7500  0.7500  0.0000
Rb  0.8418  0.3423  0.1841
Zn  0.2500  0.7500  0.5000
Zn  0.7500  0.2500  0.5000
I  0.0000  0.0000  0.0000
I  0.0059  0.7977  0.5017
I  0.2041  0.7023  0.2083
I  0.2959  0.5042  0.4983
I  0.4941  0.9958  0.7917
I  0.5000  0.5000  0.0000
I  0.5059  0.0042  0.2083
I  0.7041  0.4958  0.5017
I  0.7959  0.2977  0.7917
I  0.9941  0.2023  0.4983

The 10 most intense peaks (2θ = 15–90°), most intense first:
d/Å	2θ/deg	intensity
3.466	25.70	100
3.192	27.95	22
3.206	27.83	21
2.062	43.91	18
3.159	28.25	16
1.788	51.10	13
3.577	24.89	13
3.521	25.29	12
1.777	51.42	11
1.771	51.61	11



(5)
# AcDyS2
Theoretical PXRD pattern, Cu Kα, 1.54184 Å. Input: a cell relaxed with GGA-PBE.
Intensities are scaled so that the largest is 100.

Cell and atoms:
abc: 4.0244 4.0244 20.9289
angles: 90.00 90.00 120.00
Sites, in units of the cell vectors:
Ac  0.0000  0.0000  0.0000
Ac  0.3333  0.6667  0.6667
Ac  0.6667  0.3333  0.3333
Dy  0.0000  0.0000  0.5000
Dy  0.3333  0.6667  0.1667
Dy  0.6667  0.3333  0.8333
S  0.0000  0.0000  0.2391
S  0.0000  0.0000  0.7609
S  0.3333  0.6667  0.4275
S  0.3333  0.6667  0.9058
S  0.6667  0.3333  0.0942
S  0.6667  0.3333  0.5725

The 10 most intense peaks (2θ = 15–90°), most intense first:
d/Å	2θ/deg	intensity
2.901	30.83	100
3.307	26.96	69
2.092	43.24	38
2.012	45.05	35
1.743	52.49	31
3.488	25.54	27
1.653	55.59	19
1.318	71.60	16
1.277	74.24	16
1.794	50.89	14



(6)
# Pr3DyZn8
Theoretical PXRD pattern, Cu Kα, 1.54184 Å. Input: a cell relaxed with GGA-PBE.
Intensities are scaled so that the largest is 100.

Cell and atoms:
abc: 9.6294 9.6294 9.6294
angles: 33.70 33.70 33.70
Sites, in units of the cell vectors:
Pr  0.0000  0.0000  0.0000
Pr  0.1249  0.1249  0.1249
Pr  0.4989  0.4989  0.4989
Dy  0.6236  0.6236  0.6236
Zn  0.0582  0.5619  0.5619
Zn  0.0623  0.0623  0.5648
Zn  0.0623  0.5648  0.0623
Zn  0.3119  0.3119  0.3119
Zn  0.5619  0.0582  0.5619
Zn  0.5619  0.5619  0.0582
Zn  0.5648  0.0623  0.0623
Zn  0.8116  0.8116  0.8116

The 10 most intense peaks (2θ = 15–90°), most intense first:
d/Å	2θ/deg	intensity
2.378	37.82	100
2.792	32.06	37
2.783	32.17	36
2.372	37.93	33
1.518	61.04	32
1.611	57.20	21
2.278	39.56	20
1.396	67.05	16
1.391	67.29	16
4.552	19.50	8



(7)
# Np3CuAg4S8
Theoretical PXRD pattern, Cu Kα, 1.54184 Å. Input: a cell relaxed with GGA-PBE.
Intensities are scaled so that the largest is 100.

Cell and atoms:
abc: 7.4939 7.4939 7.6582
angles: 115.73 115.73 63.16
Sites, in units of the cell vectors:
Np  0.0000  0.0000  0.0000
Np  0.0000  0.5000  0.5000
Np  0.5000  0.0000  0.5000
Cu  0.5000  0.5000  0.0000
Ag  0.0000  0.0000  0.5000
Ag  0.0000  0.5000  0.0000
Ag  0.5000  0.0000  0.0000
Ag  0.5000  0.5000  0.5000
S  0.2294  0.2294  0.7243
S  0.2459  0.2459  0.2512
S  0.2658  0.7209  0.7704
S  0.2791  0.7342  0.2296
S  0.7209  0.2658  0.7704
S  0.7342  0.2791  0.2296
S  0.7541  0.7541  0.7488
S  0.7706  0.7706  0.2757

The 10 most intense peaks (2θ = 15–90°), most intense first:
d/Å	2θ/deg	intensity
2.733	32.77	100
3.193	27.94	65
2.747	32.60	51
2.014	45.01	40
3.295	27.06	34
1.869	48.73	32
2.987	29.91	27
1.597	57.74	19
1.962	46.27	19
1.904	47.77	18



(8)
# Y3Mg
Theoretical PXRD pattern, Cu Kα, 1.54184 Å. Input: a cell relaxed with GGA-PBE.
Intensities are scaled so that the largest is 100.

Cell and atoms:
abc: 3.5505 4.9006 6.9519
angles: 90.00 90.00 90.00
Sites, in units of the cell vectors:
Y  0.0000  0.0000  0.0000
Y  0.5000  0.5000  0.2528
Y  0.5000  0.5000  0.7472
Mg  0.0000  0.0000  0.5000

The 10 most intense peaks (2θ = 15–90°), most intense first:
d/Å	2θ/deg	intensity
2.875	31.11	100
2.835	31.56	96
2.484	36.16	66
1.744	52.46	44
2.450	36.68	32
1.505	61.64	27
1.487	62.44	25
1.128	86.20	15
1.484	62.60	13
1.478	62.86	12



(9)
# La2PmNd4
Theoretical PXRD pattern, Cu Kα, 1.54184 Å. Input: a cell relaxed with GGA-PBE.
Intensities are scaled so that the largest is 100.

Cell and atoms:
abc: 8.5885 8.5885 7.1943
angles: 98.41 98.41 87.09
Sites, in units of the cell vectors:
La  0.0000  0.0000  0.0000
La  0.0000  0.0000  0.5000
La  0.0000  0.5000  0.0000
La  0.5000  0.0000  0.0000
Pm  0.5000  0.5000  0.0000
Pm  0.5000  0.5000  0.5000
Nd  0.1445  0.6402  0.6152
Nd  0.2491  0.2491  0.7327
Nd  0.2506  0.2506  0.2695
Nd  0.3598  0.8555  0.3848
Nd  0.6402  0.1445  0.6152
Nd  0.7494  0.7494  0.7305
Nd  0.7509  0.7509  0.2673
Nd  0.8555  0.3598  0.3848

The 10 most intense peaks (2θ = 15–90°), most intense first:
d/Å	2θ/deg	intensity
2.921	30.61	100
2.959	30.21	54
2.710	33.05	42
3.430	25.98	27
2.814	31.79	24
1.701	53.91	21
2.039	44.43	19
2.697	33.22	17
4.210	21.11	15
1.566	58.97	15



(10)
# Tb5Y2In3
Theoretical PXRD pattern, Cu Kα, 1.54184 Å. Input: a cell relaxed with GGA-PBE.
Intensities are scaled so that the largest is 100.

Cell and atoms:
abc: 10.4305 10.4305 10.4305
angles: 105.45 86.06 143.36
Sites, in units of the cell vectors:
Tb  0.1604  0.5770  0.7374
Tb  0.2500  0.2500  0.0000
Tb  0.2500  0.5085  0.2585
Tb  0.2500  0.9915  0.7415
Tb  0.3396  0.0770  0.4166
Tb  0.6604  0.9230  0.5834
Tb  0.7500  0.0085  0.2585
Tb  0.7500  0.4915  0.7415
Tb  0.7500  0.7500  0.0000
Tb  0.8396  0.4230  0.2626
Y  0.2013  0.8520  0.0533
Y  0.2987  0.3520  0.6506
Y  0.7013  0.6480  0.3494
Y  0.7987  0.1480  0.9467
In  0.1481  0.1369  0.2850
In  0.2500  0.7500  0.5000
In  0.3519  0.6369  0.9888
In  0.6481  0.3631  0.0112
In  0.7500  0.2500  0.5000
In  0.8519  0.8631  0.7150

The 10 most intense peaks (2θ = 15–90°), most intense first:
d/Å	2θ/deg	intensity
3.012	29.66	100
2.918	30.64	71
2.275	39.62	59
2.486	36.13	57
2.542	35.31	45
2.432	36.96	39
1.695	54.11	34
2.533	35.43	33
4.360	20.37	32
3.243	27.50	28



(11)
# Pr2Dy2Y6Th
Theoretical PXRD pattern, Cu Kα, 1.54184 Å. Input: a cell relaxed with GGA-PBE.
Intensities are scaled so that the largest is 100.

Cell and atoms:
abc: 6.6786 6.6786 10.7253
angles: 90.00 90.00 129.36
Sites, in units of the cell vectors:
Pr  0.1357  0.8643  0.0000
Pr  0.8643  0.1357  0.0000
Dy  0.2014  0.7986  0.5000
Dy  0.7986  0.2014  0.5000
Y  0.0000  0.0000  0.2917
Y  0.0000  0.0000  0.7083
Y  0.3483  0.6517  0.2151
Y  0.3483  0.6517  0.7849
Y  0.6517  0.3483  0.2151
Y  0.6517  0.3483  0.7849
Th  0.5000  0.5000  0.5000

The 10 most intense peaks (2θ = 15–90°), most intense first:
d/Å	2θ/deg	intensity
2.804	31.91	100
2.856	31.32	35
2.939	30.41	26
2.681	33.42	21
1.639	56.12	20
2.906	30.77	20
1.955	46.45	17
2.037	44.48	15
1.499	61.90	13
4.652	19.08	12



(12)
# TbIn2Au6
Theoretical PXRD pattern, Cu Kα, 1.54184 Å. Input: a cell relaxed with GGA-PBE.
Intensities are scaled so that the largest is 100.

Cell and atoms:
abc: 8.8693 8.8693 5.2991
angles: 90.63 90.63 119.08
Sites, in units of the cell vectors:
Tb  0.2497  0.7503  0.7500
Tb  0.7503  0.2497  0.2500
In  0.1617  0.3390  0.4986
In  0.3390  0.1617  0.9986
In  0.6610  0.8383  0.0014
In  0.8383  0.6610  0.5014
Au  0.0044  0.1656  0.9973
Au  0.0860  0.5866  0.2443
Au  0.1656  0.0044  0.4973
Au  0.3344  0.4964  0.0014
Au  0.4134  0.9140  0.2557
Au  0.4964  0.3344  0.5014
Au  0.5036  0.6656  0.4986
Au  0.5866  0.0860  0.7443
Au  0.6656  0.5036  0.9986
Au  0.8344  0.9956  0.5027
Au  0.9140  0.4134  0.7557
Au  0.9956  0.8344  0.0027

The 10 most intense peaks (2θ = 15–90°), most intense first:
d/Å	2θ/deg	intensity
2.548	35.22	100
2.339	38.48	81
2.503	35.88	46
2.177	41.47	29
1.974	45.98	23
1.445	64.47	18
1.428	65.37	17
1.668	55.04	12
1.324	71.20	12
1.550	59.65	11



(13)
# Ac2BiN
Theoretical PXRD pattern, Cu Kα, 1.54184 Å. Input: a cell relaxed with GGA-PBE.
Intensities are scaled so that the largest is 100.

Cell and atoms:
abc: 6.2487 13.5734 6.3497
angles: 90.00 90.00 90.00
Sites, in units of the cell vectors:
Ac  0.1939  0.1037  0.0000
Ac  0.1939  0.8963  0.5000
Ac  0.3061  0.3963  0.0000
Ac  0.3061  0.6037  0.5000
Ac  0.6939  0.3963  0.5000
Ac  0.6939  0.6037  0.0000
Ac  0.8061  0.1037  0.5000
Ac  0.8061  0.8963  0.0000
Bi  0.2500  0.2500  0.5000
Bi  0.2500  0.7500  0.0000
Bi  0.7500  0.2500  0.0000
Bi  0.7500  0.7500  0.5000
N  0.0000  0.0000  0.2500
N  0.0000  0.0000  0.7500
N  0.5000  0.5000  0.2500
N  0.5000  0.5000  0.7500

The 10 most intense peaks (2θ = 15–90°), most intense first:
d/Å	2θ/deg	intensity
3.174	28.11	100
1.833	49.75	22
3.124	28.57	15
2.227	40.51	13
2.591	34.62	10
1.587	58.12	9
5.676	15.61	8
1.200	79.96	8
2.318	38.85	8
1.813	50.32	8